# Y5Hg6
Computed XRD peak list, Cu Kα (λ = 1.5418 Å). Input: DFT lattice parameters and positions (GGA-PBE).
Neutral-atom scattering factors, no anomalous dispersion.

Crystal structure
a = 9.0264 Å, b = 9.0264 Å, c = 5.1590 Å
α = 106.00°, β = 106.00°, γ = 48.97°
Positions (direct):
Y1 0.0000 0.0000 0.0000
Y2 0.1726 0.1726 0.6736
Y3 0.3505 0.3505 0.3472
Y4 0.6495 0.6495 0.6528
Y5 0.8274 0.8274 0.3264
Hg1 0.0816 0.5848 0.8313
Hg2 0.2325 0.7675 0.5000
Hg3 0.4152 0.9184 0.1687
Hg4 0.5848 0.0816 0.8313
Hg5 0.7675 0.2325 0.5000
Hg6 0.9184 0.4152 0.1687

Peak list (6 most intense, 2θ from 10° to 80°, low angle first)
Position (°2θ)  d [Å]  I/Imax
23.79  3.741  17
24.11  3.691  17
34.13  2.627  69
34.35  2.611  100
34.78  2.579  33
61.24  1.514  24